# 1
NaPm4Mg5: computed powder XRD pattern (Cu Ka), based on DFT lattice parameters and positions (GGA-PBE).
Lines closer than 0.1° are merged.

Largest 12 diffraction maxima, by intensity, 2θ from 15° to 90°:
- (1 0 5), 32.64 deg, intensity 100.0
- (1 0 0), 23.09 deg, intensity 51.2
- (1 1 0), 32.88 deg, intensity 49.6
- (2 1 5), 58.55 deg, intensity 37.0
- (0 0 5), 22.75 deg, intensity 26.2
- (1 1 5), 40.36 deg, intensity 23.8
- (1 1 10), 58.09 deg, intensity 18.3
- (2 0 0), 47.19 deg, intensity 17.9
- (2 0 10), 68.38 deg, intensity 11.1
- (2 1 0), 53.17 deg, intensity 10.9
- (2 0 5), 53.00 deg, intensity 10.8
- (1 0 10), 52.50 deg, intensity 10.7

Structural model:
a = 3.852 Å, b = 3.852 Å, c = 19.544 Å
α = 90.00°, β = 90.00°, γ = 90.00°
Space group P4/mmm (No. 123)
One atom of each set of equivalent atoms:
Na 0.000 0.000 0.000 [1 per cell]
Pm 0.000 0.000 0.205 [2 per cell]
Pm 0.000 0.000 0.401 [2 per cell]
Mg 0.500 0.500 0.104 [2 per cell]
Mg 0.500 0.500 0.303 [2 per cell]
Mg 0.500 0.500 0.500 [1 per cell]


# 2
Ce2MgTl2: computed powder XRD pattern (Cu Ka), based on DFT lattice parameters and positions (GGA-PBE).
Lines closer than 0.1° are merged.

Largest 12 diffraction maxima, by intensity, 2θ from 15° to 90°:
- (1 5 0), 33.30 deg, intensity 100.0
- (1 1 2), 32.63 deg, intensity 91.6
- (2 0 0), 34.85 deg, intensity 48.3
- (2 6 2), 57.27 deg, intensity 31.4
- (0 6 2), 43.96 deg, intensity 28.3
- (1 5 4), 66.24 deg, intensity 25.2
- (1 3 1), 27.73 deg, intensity 23.7
- (0 2 1), 17.48 deg, intensity 23.5
- (0 4 2), 35.37 deg, intensity 20.2
- (3 5 0), 61.50 deg, intensity 19.5
- (1 3 2), 36.49 deg, intensity 16.2
- (1 1 1), 22.58 deg, intensity 16.2

Structural model:
a = 5.149 Å, b = 15.776 Å, c = 6.629 Å
α = 90.00°, β = 90.00°, γ = 90.00°
Space group Cmc2_1 (No. 36)
One atom of each set of equivalent atoms:
Ce 0.000 0.008 0.000 [4 per cell]
Ce 0.000 0.184 0.021 [4 per cell]
Mg 0.000 0.391 0.242 [4 per cell]
Tl 0.000 0.197 0.528 [4 per cell]
Tl 0.000 0.407 0.754 [4 per cell]


# 3
TaRuPt4: computed powder XRD pattern (Cu Ka), based on DFT lattice parameters and positions (GGA-PBE).
Lines closer than 0.1° are merged.

Largest 12 diffraction maxima, by intensity, 2θ from 15° to 90°:
- (2 4 1), 45.04 deg, intensity 100.0
- (0 6 1), 40.65 deg, intensity 90.2
- (0 0 2), 39.39 deg, intensity 63.4
- (2 2 0), 34.42 deg, intensity 34.5
- (2 10 2), 83.93 deg, intensity 27.2
- (2 2 1), 39.82 deg, intensity 26.7
- (4 6 1), 81.94 deg, intensity 24.2
- (2 0 0), 32.29 deg, intensity 23.0
- (2 4 3), 75.39 deg, intensity 22.1
- (2 10 0), 70.55 deg, intensity 20.7
- (2 2 2), 53.30 deg, intensity 20.1
- (2 6 1), 52.84 deg, intensity 16.9

Structural model:
a = 5.545 Å, b = 15.230 Å, c = 4.575 Å
α = 90.00°, β = 90.00°, γ = 90.00°
Space group Cmcm (No. 63)
One atom of each set of equivalent atoms:
Ta 0.000 0.197 0.250 [4 per cell]
Ru 0.000 0.303 0.750 [4 per cell]
Pt 0.247 0.456 0.750 [8 per cell]
Pt 0.248 0.356 0.250 [8 per cell]


# 4
CeErCo3: computed powder XRD pattern (Cu Ka), based on DFT lattice parameters and positions (GGA-PBE).
Lines closer than 0.1° are merged.

Largest 12 diffraction maxima, by intensity, 2θ from 15° to 90°:
- (1 0 4), 32.19 deg, intensity 100.0
- (3 0 0), 43.88 deg, intensity 94.6
- (1 1 0), 24.92 deg, intensity 84.0
- (2 1 4), 48.69 deg, intensity 52.9
- (1 1 3), 33.08 deg, intensity 46.1
- (0 2 4), 41.14 deg, intensity 39.7
- (1 3 4), 61.71 deg, intensity 34.9
- (4 0 4), 67.62 deg, intensity 16.7
- (1 2 8), 73.02 deg, intensity 15.9
- (0 1 8), 61.44 deg, intensity 15.6
- (3 1 8), 83.93 deg, intensity 14.6
- (3 3 0), 80.67 deg, intensity 13.9

Structural model:
a = 7.1467 Å, b = 7.1467 Å, c = 12.4495 Å
α = 90.00°, β = 90.00°, γ = 120.00°
Space group R-3c (No. 167, hexagonal axes)
One atom of each set of equivalent atoms:
Ce 0.0000 0.0000 0.2500 [6 per cell]
Er 0.0000 0.0000 0.0000 [6 per cell]
Co 0.0000 0.3107 0.2500 [18 per cell]


# 5
ZnPSe4: computed powder XRD pattern (Cu Ka), based on DFT lattice parameters and positions (GGA-PBE).
Lines closer than 0.1° are merged.

Largest 12 diffraction maxima, by intensity, 2θ from 15° to 90°:
- (1 -1 2), 28.34 deg, intensity 100.0
- (2 0 3), 45.37 deg, intensity 44.9
- (3 1 0), 58.92 deg, intensity 21.5
- (1 1 5), 49.52 deg, intensity 19.0
- (2 2 -2), 50.50 deg, intensity 16.1
- (1 1 0), 25.60 deg, intensity 15.2
- (2 0 -1), 35.11 deg, intensity 12.3
- (0 0 4), 27.81 deg, intensity 11.7
- (3 -1 5), 73.43 deg, intensity 10.3
- (2 2 -10), 79.98 deg, intensity 8.0
- (0 0 8), 57.46 deg, intensity 7.3
- (1 1 2), 32.43 deg, intensity 7.2

Structural model:
a = 5.111 Å, b = 5.112 Å, c = 13.330 Å
α = 101.05°, β = 101.03°, γ = 90.02°
Space group P-1 (No. 2)
One atom of each set of equivalent atoms:
Zn 0.123 0.374 0.249 [2 per cell]
P 0.376 0.126 0.751 [2 per cell]
Se 0.087 0.297 0.634 [2 per cell]
Se 0.205 0.953 0.867 [2 per cell]
Se 0.335 0.585 0.133 [2 per cell]
Se 0.451 0.162 0.366 [2 per cell]


# 6
Li2CdAuO4: computed powder XRD pattern (Cu Ka), based on DFT lattice parameters and positions (GGA-PBE).
Lines closer than 0.1° are merged.

Largest 12 diffraction maxima, by intensity, 2θ from 15° to 90°:
- (1 1 -1), 16.85 deg, intensity 100.0
- (2 2 0), 33.96 deg, intensity 28.4
- (1 1 1), 30.15 deg, intensity 26.9
- (2 2 -2), 34.13 deg, intensity 25.3
- (0 0 2), 35.52 deg, intensity 22.8
- (1 3 -1), 34.26 deg, intensity 17.2
- (4 0 -2), 40.38 deg, intensity 17.0
- (0 4 0), 42.37 deg, intensity 15.3
- (3 1 -1), 33.00 deg, intensity 11.9
- (0 4 2), 56.44 deg, intensity 11.3
- (4 4 -2), 59.96 deg, intensity 10.0
- (1 3 1), 42.76 deg, intensity 9.3

Structural model:
a = 8.934 Å, b = 8.533 Å, c = 6.720 Å
α = 90.00°, β = 131.21°, γ = 90.00°
Space group C2/c (No. 15)
One atom of each set of equivalent atoms:
Li 0.000 0.000 0.000 [4 per cell]
Li 0.250 0.250 0.000 [4 per cell]
Cd 0.000 0.500 0.000 [4 per cell]
Au 0.250 0.250 0.500 [4 per cell]
O 0.080 0.242 0.599 [8 per cell]
O 0.247 0.487 0.478 [8 per cell]


# 7
Al4SbMo: computed powder XRD pattern (Cu Ka), based on DFT lattice parameters and positions (GGA-PBE).
Lines closer than 0.1° are merged.

Largest 12 diffraction maxima, by intensity, 2θ from 15° to 90°:
- (3 1 1), 40.33 deg, intensity 100.0
- (2 2 0), 34.19 deg, intensity 87.1
- (1 1 1), 20.74 deg, intensity 42.9
- (5 1 1), 65.38 deg, intensity 31.1
- (4 2 2), 61.22 deg, intensity 31.0
- (4 4 0), 72.02 deg, intensity 21.3
- (6 2 0), 82.20 deg, intensity 13.6
- (5 3 3), 85.93 deg, intensity 11.1
- (3 3 1), 53.88 deg, intensity 10.2
- (2 2 2), 42.21 deg, intensity 8.1
- (5 3 1), 75.89 deg, intensity 7.2
- (4 0 0), 49.13 deg, intensity 3.9

Structural model:
a = 7.417 Å, b = 7.417 Å, c = 7.417 Å
α = 90.00°, β = 90.00°, γ = 90.00°
Space group F-43m (No. 216)
One atom of each set of equivalent atoms:
Al 0.123 0.123 0.123 [16 per cell]
Sb 0.000 0.000 0.500 [4 per cell]
Mo 0.250 0.250 0.750 [4 per cell]


# 8
Sr2BiIO3: computed powder XRD pattern (Cu Ka), based on DFT lattice parameters and positions (GGA-PBE).
Lines closer than 0.1° are merged.

Largest 12 diffraction maxima, by intensity, 2θ from 15° to 90°:
- (1 0 7), 32.74 deg, intensity 100.0
- (1 1 0), 24.13 deg, intensity 90.5
- (2 1 7), 48.21 deg, intensity 52.8
- (0 2 1), 28.25 deg, intensity 52.2
- (2 2 0), 49.42 deg, intensity 41.7
- (1 1 6), 35.19 deg, intensity 39.0
- (1 3 7), 60.55 deg, intensity 29.3
- (1 1 3), 27.28 deg, intensity 25.5
- (3 0 0), 42.45 deg, intensity 20.9
- (0 1 5), 25.22 deg, intensity 15.9
- (3 2 7), 71.53 deg, intensity 15.4
- (2 0 14), 68.63 deg, intensity 15.0

Structural model:
a = 7.3768 Å, b = 7.3768 Å, c = 21.1851 Å
α = 90.00°, β = 90.00°, γ = 120.00°
Space group R-3m (No. 166, hexagonal axes)
One atom of each set of equivalent atoms:
Sr 0.0000 0.0000 0.0000 [3 per cell]
Sr 0.0000 0.5000 0.5000 [9 per cell]
Bi 0.0000 0.0000 0.4236 [6 per cell]
I 0.0000 0.0000 0.2810 [6 per cell]
O 0.0198 0.5099 0.7671 [18 per cell]